1.
Computed powder X-ray diffraction pattern of Li4FeP6O18 for Cu Ka, from the PBE+U geometry in the Materials Project.
Lines closer than 0.1° are merged.

Structural model:
abc: 7.3237 7.5542 7.6199
angles: 106.72 99.55 113.39
Fractional positions:
Li  0.0000  0.0000  0.0000
Li  0.1052  0.4499  0.4079
Li  0.2530  0.8818  0.7044
Li  0.8706  0.5270  0.7366
Fe  0.4163  0.3794  0.0062
P  0.3061  0.7699  0.0660
P  0.4067  0.1700  0.3493
P  0.6165  0.7580  0.6383
P  0.6573  0.1405  0.0975
P  0.8385  0.7124  0.3592
P  0.9601  0.1239  0.6416
O  0.1231  0.1218  0.7932
O  0.1462  0.7683  0.9126
O  0.2685  0.2109  0.2110
O  0.2859  0.5673  0.0740
O  0.3205  0.9152  0.2759
O  0.3896  0.6952  0.6118
O  0.4517  0.2586  0.5607
O  0.5282  0.1699  0.9405
O  0.5389  0.8934  0.0550
O  0.6303  0.2411  0.3029
O  0.6330  0.6472  0.4299
O  0.7331  0.0045  0.6662
O  0.7505  0.6132  0.1429
O  0.7499  0.7309  0.7901
O  0.8848  0.2082  0.1284
O  0.9312  0.9653  0.4297
O  0.9861  0.3248  0.6278
O  0.9984  0.6706  0.4672

Main lines, low angle first (2θ from 10° to 90°):
2θ (°)	intensity	hkl
13.89	55	1 0 0
15.62	100	1 0 -1
18.55	80	1 -1 1
24.63	61	1 -2 1
26.82	25	2 0 -1
26.99	70	1 1 -2
27.97	50	0 2 0
28.67	38	1 -1 2
30.46	32	-1 1 2
32.46	33	-2 2 1
36.99	34	2 1 0
39.10	28	0 3 -1

2.
Computed powder X-ray diffraction pattern of Ba2Co3O8 for Cu Ka, from the PBE+U geometry in the Materials Project.
Lines closer than 0.1° are merged.

Structural model:
abc: 3.8467 3.8467 12.1776
angles: 90.00 90.00 90.00
Fractional positions:
Ba  0.0000  0.0000  0.1724
Ba  0.0000  0.0000  0.8276
Co  0.5000  0.5000  0.0000
Co  0.5000  0.5000  0.3362
Co  0.5000  0.5000  0.6638
O  0.0000  0.5000  0.0000
O  0.0000  0.5000  0.3480
O  0.0000  0.5000  0.6520
O  0.5000  0.0000  0.0000
O  0.5000  0.0000  0.3480
O  0.5000  0.0000  0.6520
O  0.5000  0.5000  0.1697
O  0.5000  0.5000  0.8303

Main lines, low angle first (2θ from 10° to 90°):
2θ (°)	intensity	hkl
14.55	22	0 0 2
24.26	14	1 0 1
27.43	15	1 0 2
32.06	100	1 0 3
32.93	40	1 1 0
36.17	12	1 1 2
39.90	13	1 1 3
44.65	20	0 0 6
47.26	31	2 0 0
56.58	19	1 1 6
58.25	36	2 1 3
67.04	19	2 0 6

3.
Computed powder X-ray diffraction pattern of BaNaCeWO6 for Cu Ka, from the PBE+U geometry in the Materials Project.
Lines closer than 0.1° are merged.

Structural model:
abc: 8.4338 8.4567 8.4963
angles: 90.00 90.00 90.00
Fractional positions:
Ba  0.2500  0.2500  0.2500
Ba  0.2500  0.2500  0.7500
Ba  0.7500  0.7500  0.2500
Ba  0.7500  0.7500  0.7500
Na  0.2500  0.7500  0.2500
Na  0.2500  0.7500  0.7500
Na  0.7500  0.2500  0.2500
Na  0.7500  0.2500  0.7500
Ce  0.0000  0.0000  0.0000
Ce  0.0000  0.5000  0.5000
Ce  0.5000  0.0000  0.5000
Ce  0.5000  0.5000  0.0000
W  0.0000  0.0000  0.5000
W  0.0000  0.5000  0.0000
W  0.5000  0.0000  0.0000
W  0.5000  0.5000  0.5000
O  0.0303  0.2399  0.4868
O  0.0303  0.2601  0.0132
O  0.0360  0.5208  0.2394
O  0.0360  0.9792  0.2606
O  0.2279  0.5197  0.9613
O  0.2279  0.9803  0.5387
O  0.2721  0.5197  0.5387
O  0.2721  0.9803  0.9613
O  0.4640  0.5208  0.2606
O  0.4640  0.9792  0.2394
O  0.4697  0.2399  0.0132
O  0.4697  0.2601  0.4868
O  0.5303  0.7399  0.5132
O  0.5303  0.7601  0.9868
O  0.5360  0.0208  0.7606
O  0.5360  0.4792  0.7394
O  0.7279  0.0197  0.0387
O  0.7279  0.4803  0.4613
O  0.7721  0.0197  0.4613
O  0.7721  0.4803  0.0387
O  0.9640  0.0208  0.7394
O  0.9640  0.4792  0.7606
O  0.9697  0.7399  0.9868
O  0.9697  0.7601  0.5132

Main lines, low angle first (2θ from 10° to 90°):
2θ (°)	intensity	hkl
14.83	16	1 1 0
20.96	23	0 2 0
21.07	11	2 0 0
29.83	100	2 0 2
29.93	49	2 2 0
42.56	15	0 0 4
42.77	15	0 4 0
42.89	14	4 0 0
52.90	22	2 2 4
53.07	43	4 2 2
61.97	18	0 4 4
85.76	11	2 4 6